Theoretical PXRD pattern
Compound: CeNiAs2O8
Radiation: Cu Kα (λ = 1.5418 Å)
Structure: a crystal structure in Alexandria, relaxed with PBE+U

The 12 most intense peaks (2θ = 10–90°), by angle:
d (Å)	I_rel
4.891	48
3.818	100
2.824	97
2.591	61
2.073	26
1.909	38
1.769	23
1.630	18
1.581	28
1.458	18
1.412	18
1.177	17

Atomic structure:
a = 5.6474 Å, b = 5.6474 Å, c = 6.1091 Å
α = 90.00°, β = 90.00°, γ = 120.00°
Space group P-3m1 (No. 164)
Unique sites:
Ce (0.0000, 0.0000, 0.0000) [1 per cell]
Ni (0.0000, 0.0000, 0.5000) [1 per cell]
As (0.3333, 0.6667, 0.6393) [2 per cell]
O (0.1658, 0.3315, 0.7433) [6 per cell]
O (0.3333, 0.6667, 0.3696) [2 per cell]